# 1
This entry pairs a crystal structure of YErRh2 with its computed XRD peak list. Radiation: Cu Kα. Structure: a DFT-relaxed cell (GGA-PBE, the Materials Project).

Principal peaks in the range 15 to 90 degrees two-theta, by angle:
hkl 1 1 1, 2θ 22.48, intensity 6; hkl 2 2 0, 2θ 37.13, intensity 100; hkl 3 1 1, 2θ 43.84, intensity 3; hkl 4 0 0, 2θ 53.52, intensity 17; hkl 3 3 1, 2θ 58.76, intensity 1; hkl 4 2 2, 2θ 66.93, intensity 35; hkl 4 4 0, 2θ 79.09, intensity 11; hkl 5 3 1, 2θ 83.50, intensity 1

```
data_YErRh2
_space_group_name_H-M_alt 'F m -3 m'
_space_group_IT_number 225
_space_group_name_Hall '-F 4 2 3'
_cell_length_a 6.849
_cell_length_b 6.849
_cell_length_c 6.849
_cell_angle_alpha 90.00
_cell_angle_beta 90.00
_cell_angle_gamma 90.00
loop_
_atom_site_label
_atom_site_type_symbol
_atom_site_fract_x
_atom_site_fract_y
_atom_site_fract_z
_atom_site_occupancy
Y1 Y 0.000 0.000 0.000 1
Er1 Er 0.000 0.000 0.500 1
Rh1 Rh 0.250 0.250 0.250 1
```

---

# 2
This entry pairs a crystal structure of Er5Ru2 with its computed XRD peak list. Radiation: Cu Kα. Structure: a DFT-relaxed cell (GGA-PBE, the Materials Project).

Principal peaks in the range 15 to 90 degrees two-theta, by angle:
hkl 1 1 -2, 2θ 28.54, intensity 46; hkl 0 2 1, 2θ 31.15, intensity 84; hkl 4 0 -2, 2θ 31.82, intensity 89; hkl 5 1 0, 2θ 32.33, intensity 100; hkl 3 1 2, 2θ 35.22, intensity 45; hkl 5 1 1, 2θ 36.05, intensity 46; hkl 4 2 -1, 2θ 38.10, intensity 46; hkl 1 1 -3, 2θ 39.95, intensity 49

```
data_Er5Ru2
_space_group_name_H-M_alt 'C 1 2/c 1'
_space_group_IT_number 15
_cell_length_a 15.563
_cell_length_b 6.261
_cell_length_c 7.261
_cell_angle_alpha 90.00
_cell_angle_beta 97.27
_cell_angle_gamma 90.00
loop_
_space_group_symop_operation_xyz
'x,y,z'
'-x,-y,-z'
'-x,y,-z+1/2'
'x,-y,z+1/2'
'x+1/2,y+1/2,z'
'-x+1/2,-y+1/2,-z'
'-x+1/2,y+1/2,-z+1/2'
'x+1/2,-y+1/2,z+1/2'
loop_
_atom_site_label
_atom_site_type_symbol
_atom_site_fract_x
_atom_site_fract_y
_atom_site_fract_z
_atom_site_occupancy
Er1 Er 0.000 0.082 0.250 1
Er2 Er 0.093 0.384 0.915 1
Er3 Er 0.218 0.077 0.315 1
Ru1 Ru 0.110 0.212 0.576 1
```

---

# 3
This entry pairs a crystal structure of Er3Ru with its computed XRD peak list. Radiation: Cu Kα. Structure: a DFT-relaxed cell (GGA-PBE, the Materials Project).

Principal peaks in the range 15 to 90 degrees two-theta, by angle:
hkl 2 1 1, 2θ 30.10, intensity 30; hkl 1 0 2, 2θ 31.21, intensity 29; hkl 2 2 0, 2θ 31.49, intensity 38; hkl 0 3 1, 2θ 32.80, intensity 100; hkl 2 2 1, 2θ 34.70, intensity 40; hkl 1 3 1, 2θ 35.13, intensity 34; hkl 3 0 1, 2θ 39.90, intensity 21; hkl 3 3 2, 2θ 56.88, intensity 20

```
data_Er3Ru
_space_group_name_H-M_alt 'P n m a'
_space_group_IT_number 62
_cell_length_a 7.272
_cell_length_b 9.101
_cell_length_c 6.237
_cell_angle_alpha 90.00
_cell_angle_beta 90.00
_cell_angle_gamma 90.00
loop_
_space_group_symop_operation_xyz
'x,y,z'
'-x,-y,-z'
'-x+1/2,-y,z+1/2'
'x+1/2,y,-z+1/2'
'x+1/2,-y+1/2,-z+1/2'
'-x+1/2,y+1/2,z+1/2'
'-x,y+1/2,-z'
'x,-y+1/2,z'
loop_
_atom_site_label
_atom_site_type_symbol
_atom_site_fract_x
_atom_site_fract_y
_atom_site_fract_z
_atom_site_occupancy
Er1 Er 0.038 0.250 0.134 1
Er2 Er 0.177 0.064 0.669 1
Ru1 Ru 0.116 0.750 0.458 1
```

---

# 4
This entry pairs a crystal structure of ErScRu2 with its computed XRD peak list. Radiation: Cu Kα. Structure: a DFT-relaxed cell (GGA-PBE, the Materials Project).

Principal peaks in the range 15 to 90 degrees two-theta, by angle:
hkl 1 1 1, 2θ 23.40, intensity 20; hkl 2 2 0, 2θ 38.67, intensity 100; hkl 3 1 1, 2θ 45.69, intensity 11; hkl 4 0 0, 2θ 55.84, intensity 17; hkl 3 3 1, 2θ 61.37, intensity 5; hkl 4 2 2, 2θ 69.99, intensity 34; hkl 4 4 0, 2θ 82.94, intensity 11; hkl 5 3 1, 2θ 87.67, intensity 4

```
data_ErScRu2
_space_group_name_H-M_alt 'F m -3 m'
_space_group_IT_number 225
_space_group_name_Hall '-F 4 2 3'
_cell_length_a 6.585
_cell_length_b 6.585
_cell_length_c 6.585
_cell_angle_alpha 90.00
_cell_angle_beta 90.00
_cell_angle_gamma 90.00
loop_
_atom_site_label
_atom_site_type_symbol
_atom_site_fract_x
_atom_site_fract_y
_atom_site_fract_z
_atom_site_occupancy
Er1 Er 0.000 0.000 0.000 1
Sc1 Sc 0.000 0.000 0.500 1
Ru1 Ru 0.250 0.250 0.250 1
```

---

# 5
This entry pairs a crystal structure of ErSi2Ru2 with its computed XRD peak list. Radiation: Cu Kα. Structure: a DFT-relaxed cell (GGA-PBE, the Materials Project).

Principal peaks in the range 15 to 90 degrees two-theta, by angle:
hkl 1 0 1, 2θ 23.26, intensity 34; hkl 1 0 3, 2θ 35.57, intensity 33; hkl 1 1 2, 2θ 35.80, intensity 100; hkl 2 0 0, 2θ 43.33, intensity 40; hkl 2 1 3, 2θ 57.25, intensity 17; hkl 2 0 4, 2θ 58.87, intensity 17; hkl 1 1 6, 2θ 67.04, intensity 17; hkl 3 1 2, 2θ 74.57, intensity 23

```
data_ErSi2Ru2
_space_group_name_H-M_alt 'I 4/m m m'
_space_group_IT_number 139
_space_group_name_Hall '-I 4 2'
_cell_length_a 4.177
_cell_length_b 4.177
_cell_length_c 9.505
_cell_angle_alpha 90.00
_cell_angle_beta 90.00
_cell_angle_gamma 90.00
loop_
_atom_site_label
_atom_site_type_symbol
_atom_site_fract_x
_atom_site_fract_y
_atom_site_fract_z
_atom_site_occupancy
Er1 Er 0.000 0.000 0.000 1
Si1 Si 0.000 0.000 0.369 1
Ru1 Ru 0.000 0.500 0.250 1
```

---

# 6
This entry pairs a crystal structure of ErSiRu with its computed XRD peak list. Radiation: Cu Kα. Structure: a DFT-relaxed cell (GGA-PBE, the Materials Project).

Principal peaks in the range 15 to 90 degrees two-theta, by angle:
hkl 0 1 1, 2θ 24.16, intensity 35; hkl 1 1 2, 2θ 35.19, intensity 90; hkl 2 1 1, 2θ 35.53, intensity 100; hkl 2 0 2, 2θ 36.15, intensity 31; hkl 1 0 3, 2θ 40.19, intensity 31; hkl 3 0 1, 2θ 41.00, intensity 31; hkl 0 2 0, 2θ 41.97, intensity 55; hkl 3 1 4, 2θ 70.23, intensity 31

```
data_ErSiRu
_space_group_name_H-M_alt 'P n m a'
_space_group_IT_number 62
_cell_length_a 6.945
_cell_length_b 4.305
_cell_length_c 7.114
_cell_angle_alpha 90.00
_cell_angle_beta 90.00
_cell_angle_gamma 90.00
loop_
_space_group_symop_operation_xyz
'x,y,z'
'-x,-y,-z'
'-x+1/2,-y,z+1/2'
'x+1/2,y,-z+1/2'
'x+1/2,-y+1/2,-z+1/2'
'-x+1/2,y+1/2,z+1/2'
'-x,y+1/2,-z'
'x,-y+1/2,z'
loop_
_atom_site_label
_atom_site_type_symbol
_atom_site_fract_x
_atom_site_fract_y
_atom_site_fract_z
_atom_site_occupancy
Er1 Er 0.012 0.250 0.187 1
Si1 Si 0.198 0.250 0.607 1
Ru1 Ru 0.154 0.750 0.434 1
```

---

# 7
This entry pairs a crystal structure of Er3Si12Ru4 with its computed XRD peak list. Radiation: Cu Kα. Structure: a DFT-relaxed cell (GGA-PBE, the Materials Project).

Principal peaks in the range 15 to 90 degrees two-theta, by angle:
hkl 4 0 0, 2θ 19.18, intensity 59; hkl 2 2 0, 2θ 23.94, intensity 58; hkl 0 2 2, 2θ 31.16, intensity 52; hkl 1 1 3, 2θ 35.30, intensity 80; hkl 6 2 0, 2θ 36.59, intensity 100; hkl 4 2 2, 2θ 36.85, intensity 95; hkl 7 1 3, 2θ 49.49, intensity 36; hkl 6 4 2, 2θ 59.05, intensity 59

```
data_Er3Si12Ru4
_space_group_name_H-M_alt 'C m c e'
_space_group_IT_number 64
_space_group_name_Hall '-C 2ac 2'
_cell_length_a 18.505
_cell_length_b 8.116
_cell_length_c 8.120
_cell_angle_alpha 90.00
_cell_angle_beta 90.00
_cell_angle_gamma 90.00
loop_
_atom_site_label
_atom_site_type_symbol
_atom_site_fract_x
_atom_site_fract_y
_atom_site_fract_z
_atom_site_occupancy
Er1 Er 0.000 0.000 0.000 1
Er2 Er 0.250 0.247 0.250 1
Si1 Si 0.000 0.167 0.333 1
Si2 Si 0.117 0.005 0.729 1
Si3 Si 0.117 0.229 0.506 1
Si4 Si 0.205 0.000 0.500 1
Ru1 Ru 0.000 0.127 0.627 1
Ru2 Ru 0.170 0.000 0.000 1
```

---

# 8
This entry pairs a crystal structure of ErTaRu2 with its computed XRD peak list. Radiation: Cu Kα. Structure: a DFT-relaxed cell (GGA-PBE, the Materials Project).

Principal peaks in the range 15 to 90 degrees two-theta, by angle:
hkl 2 0 0, 2θ 27.35, intensity 8; hkl 2 2 0, 2θ 39.06, intensity 100; hkl 2 2 2, 2θ 48.34, intensity 2; hkl 4 0 0, 2θ 56.43, intensity 17; hkl 4 2 0, 2θ 63.82, intensity 3; hkl 4 2 2, 2θ 70.77, intensity 35; hkl 4 4 0, 2θ 83.92, intensity 11

```
data_ErTaRu2
_space_group_name_H-M_alt 'F m -3 m'
_space_group_IT_number 225
_space_group_name_Hall '-F 4 2 3'
_cell_length_a 6.522
_cell_length_b 6.522
_cell_length_c 6.522
_cell_angle_alpha 90.00
_cell_angle_beta 90.00
_cell_angle_gamma 90.00
loop_
_atom_site_label
_atom_site_type_symbol
_atom_site_fract_x
_atom_site_fract_y
_atom_site_fract_z
_atom_site_occupancy
Er1 Er 0.000 0.000 0.000 1
Ta1 Ta 0.000 0.000 0.500 1
Ru1 Ru 0.250 0.250 0.250 1
```

---

# 9
This entry pairs a crystal structure of ErThRu2 with its computed XRD peak list. Radiation: Cu Kα. Structure: a DFT-relaxed cell (GGA-PBE, the Materials Project).

Principal peaks in the range 15 to 90 degrees two-theta, by angle:
hkl 2 0 0, 2θ 25.67, intensity 11; hkl 2 2 0, 2θ 36.62, intensity 100; hkl 2 2 2, 2θ 45.26, intensity 4; hkl 4 0 0, 2θ 52.76, intensity 18; hkl 4 2 0, 2θ 59.57, intensity 5; hkl 4 2 2, 2θ 65.94, intensity 36; hkl 4 4 0, 2θ 77.86, intensity 11; hkl 6 2 0, 2θ 89.26, intensity 17

```
data_ErThRu2
_space_group_name_H-M_alt 'F m -3 m'
_space_group_IT_number 225
_space_group_name_Hall '-F 4 2 3'
_cell_length_a 6.940
_cell_length_b 6.940
_cell_length_c 6.940
_cell_angle_alpha 90.00
_cell_angle_beta 90.00
_cell_angle_gamma 90.00
loop_
_atom_site_label
_atom_site_type_symbol
_atom_site_fract_x
_atom_site_fract_y
_atom_site_fract_z
_atom_site_occupancy
Er1 Er 0.000 0.000 0.000 1
Th1 Th 0.000 0.000 0.500 1
Ru1 Ru 0.250 0.250 0.250 1
```

---

# 10
This entry pairs a crystal structure of ErTmRu2 with its computed XRD peak list. Radiation: Cu Kα. Structure: a DFT-relaxed cell (GGA-PBE, the Materials Project).

Principal peaks in the range 15 to 90 degrees two-theta, by angle:
hkl 2 0 0, 2θ 26.47, intensity 7; hkl 2 2 0, 2θ 37.79, intensity 100; hkl 2 2 2, 2θ 46.73, intensity 2; hkl 4 0 0, 2θ 54.51, intensity 17; hkl 4 2 0, 2θ 61.59, intensity 3; hkl 4 2 2, 2θ 68.23, intensity 35; hkl 4 4 0, 2θ 80.73, intensity 11; hkl 6 0 0, 2θ 86.77, intensity 2

```
data_ErTmRu2
_space_group_name_H-M_alt 'F m -3 m'
_space_group_IT_number 225
_space_group_name_Hall '-F 4 2 3'
_cell_length_a 6.734
_cell_length_b 6.734
_cell_length_c 6.734
_cell_angle_alpha 90.00
_cell_angle_beta 90.00
_cell_angle_gamma 90.00
loop_
_atom_site_label
_atom_site_type_symbol
_atom_site_fract_x
_atom_site_fract_y
_atom_site_fract_z
_atom_site_occupancy
Er1 Er 0.000 0.000 0.000 1
Tm1 Tm 0.000 0.000 0.500 1
Ru1 Ru 0.250 0.250 0.250 1
```

---

# 11
This entry pairs a crystal structure of YErRu2 with its computed XRD peak list. Radiation: Cu Kα. Structure: a DFT-relaxed cell (GGA-PBE, the Materials Project).

Principal peaks in the range 15 to 90 degrees two-theta, by angle:
hkl 1 1 1, 2θ 22.72, intensity 6; hkl 2 0 0, 2θ 26.29, intensity 1; hkl 2 2 0, 2θ 37.52, intensity 100; hkl 3 1 1, 2θ 44.31, intensity 3; hkl 4 0 0, 2θ 54.11, intensity 17; hkl 3 3 1, 2θ 59.42, intensity 1; hkl 4 2 2, 2θ 67.70, intensity 35; hkl 4 4 0, 2θ 80.06, intensity 11

```
data_YErRu2
_space_group_name_H-M_alt 'F m -3 m'
_space_group_IT_number 225
_space_group_name_Hall '-F 4 2 3'
_cell_length_a 6.780
_cell_length_b 6.780
_cell_length_c 6.780
_cell_angle_alpha 90.00
_cell_angle_beta 90.00
_cell_angle_gamma 90.00
loop_
_atom_site_label
_atom_site_type_symbol
_atom_site_fract_x
_atom_site_fract_y
_atom_site_fract_z
_atom_site_occupancy
Y1 Y 0.000 0.000 0.000 1
Er1 Er 0.000 0.000 0.500 1
Ru1 Ru 0.250 0.250 0.250 1
```

---

# 12
This entry pairs a crystal structure of Er2ZnRu with its computed XRD peak list. Radiation: Cu Kα. Structure: a DFT-relaxed cell (GGA-PBE, the Materials Project).

Principal peaks in the range 15 to 90 degrees two-theta, by angle:
hkl 2 0 0, 2θ 25.85, intensity 12; hkl 2 2 0, 2θ 36.88, intensity 100; hkl 2 2 2, 2θ 45.58, intensity 4; hkl 4 0 0, 2θ 53.14, intensity 17; hkl 4 2 0, 2θ 60.02, intensity 5; hkl 4 2 2, 2θ 66.44, intensity 35; hkl 4 4 0, 2θ 78.48, intensity 11; hkl 6 0 0, 2θ 84.28, intensity 3

```
data_Er2ZnRu
_space_group_name_H-M_alt 'F m -3 m'
_space_group_IT_number 225
_space_group_name_Hall '-F 4 2 3'
_cell_length_a 6.894
_cell_length_b 6.894
_cell_length_c 6.894
_cell_angle_alpha 90.00
_cell_angle_beta 90.00
_cell_angle_gamma 90.00
loop_
_atom_site_label
_atom_site_type_symbol
_atom_site_fract_x
_atom_site_fract_y
_atom_site_fract_z
_atom_site_occupancy
Er1 Er 0.250 0.250 0.250 1
Zn1 Zn 0.000 0.000 0.000 1
Ru1 Ru 0.000 0.000 0.500 1
```

---

# 13
This entry pairs a crystal structure of ErZrRu2 with its computed XRD peak list. Radiation: Cu Kα. Structure: a DFT-relaxed cell (GGA-PBE, the Materials Project).

Principal peaks in the range 15 to 90 degrees two-theta, by angle:
hkl 1 1 1, 2θ 23.18, intensity 6; hkl 2 0 0, 2θ 26.83, intensity 2; hkl 2 2 0, 2θ 38.30, intensity 100; hkl 3 1 1, 2θ 45.25, intensity 3; hkl 4 0 0, 2θ 55.28, intensity 17; hkl 3 3 1, 2θ 60.74, intensity 1; hkl 4 2 2, 2θ 69.25, intensity 34; hkl 4 4 0, 2θ 82.00, intensity 11

```
data_ErZrRu2
_space_group_name_H-M_alt 'F m -3 m'
_space_group_IT_number 225
_space_group_name_Hall '-F 4 2 3'
_cell_length_a 6.647
_cell_length_b 6.647
_cell_length_c 6.647
_cell_angle_alpha 90.00
_cell_angle_beta 90.00
_cell_angle_gamma 90.00
loop_
_atom_site_label
_atom_site_type_symbol
_atom_site_fract_x
_atom_site_fract_y
_atom_site_fract_z
_atom_site_occupancy
Er1 Er 0.000 0.000 0.000 1
Zr1 Zr 0.000 0.000 0.500 1
Ru1 Ru 0.250 0.250 0.250 1
```

---

# 14
This entry pairs a crystal structure of Er2S3 with its computed XRD peak list. Radiation: Cu Kα. Structure: a DFT-relaxed cell (GGA-PBE, the Materials Project).

Principal peaks in the range 15 to 90 degrees two-theta, by angle:
hkl 1 0 -3, 2θ 23.83, intensity 84; hkl 3 0 -1, 2θ 24.40, intensity 100; hkl 1 1 1, 2θ 26.67, intensity 57; hkl 2 0 2, 2θ 27.68, intensity 49; hkl 1 1 -2, 2θ 28.02, intensity 52; hkl 2 1 1, 2θ 31.42, intensity 69; hkl 3 1 0, 2θ 34.67, intensity 55; hkl 4 1 -3, 2θ 42.82, intensity 59

```
data_Er2S3
_space_group_name_H-M_alt 'P 1 21/m 1'
_space_group_IT_number 11
_cell_length_a 10.942
_cell_length_b 3.908
_cell_length_c 11.205
_cell_angle_alpha 90.00
_cell_angle_beta 108.79
_cell_angle_gamma 90.00
loop_
_space_group_symop_operation_xyz
'x,y,z'
'-x,-y,-z'
'-x,y+1/2,-z'
'x,-y+1/2,z'
loop_
_atom_site_label
_atom_site_type_symbol
_atom_site_fract_x
_atom_site_fract_y
_atom_site_fract_z
_atom_site_occupancy
Er1 Er 0.044 0.250 0.190 1
Er2 Er 0.161 0.250 0.584 1
Er3 Er 0.317 0.750 0.997 1
Er4 Er 0.432 0.250 0.332 1
S1 S 0.082 0.750 0.402 1
S2 S 0.110 0.250 0.963 1
S3 S 0.191 0.750 0.749 1
S4 S 0.254 0.750 0.223 1
S5 S 0.398 0.250 0.564 1
S6 S 0.477 0.250 0.113 1
```